1.
Theoretical powder diffraction line list of Pa2GaSb3 for λ = 1.5418 Å (Cu Kα), from a DFT-relaxed cell (PBE, Alexandria).
Lines closer than 0.1° are merged.

Largest 8 diffraction maxima, low angle first, 2θ = 10–80°:
2θ (°)	I/Imax
23.25	43
29.61	46
31.08	34
31.41	57
36.33	100
37.71	47
42.37	56
53.47	30

Structure:
Lattice parameters (Å, degrees): 4.2669 4.2669 8.6323 90.00 90.00 90.00
Fractional coordinates of all 6 atoms:
1 Pa 0.0000 0.5000 0.2220
2 Pa 0.5000 0.0000 0.7780
3 Ga 0.0000 0.0000 0.5000
4 Sb 0.0000 0.5000 0.8548
5 Sb 0.5000 0.0000 0.1452
6 Sb 0.5000 0.5000 0.5000


2.
Theoretical powder diffraction line list of Sc2Zn5In for λ = 1.5418 Å (Cu Kα), from a DFT-relaxed cell (PBE, Alexandria).
Lines closer than 0.1° are merged.

Largest 8 diffraction maxima, low angle first, 2θ = 10–80°:
2θ (°)	I/Imax
23.44	67
34.37	95
35.93	72
37.28	47
37.72	100
44.61	86
46.53	92
66.43	49

Structure:
Lattice parameters (Å, degrees): 8.3654 8.3654 9.1965 90.00 90.00 153.02
Fractional coordinates of all 16 atoms:
1 Sc 0.0000 0.0000 0.0000
2 Sc 0.0000 0.0000 0.5000
3 Sc 0.1885 0.8115 0.7500
4 Sc 0.8115 0.1885 0.2500
5 Zn 0.2051 0.7949 0.1006
6 Zn 0.2051 0.7949 0.3994
7 Zn 0.3612 0.6388 0.0252
8 Zn 0.3612 0.6388 0.4748
9 Zn 0.3742 0.6258 0.7500
10 Zn 0.6258 0.3742 0.2500
11 Zn 0.6388 0.3612 0.5252
12 Zn 0.6388 0.3612 0.9748
13 Zn 0.7949 0.2051 0.6006
14 Zn 0.7949 0.2051 0.8994
15 In 0.4642 0.5358 0.2500
16 In 0.5358 0.4642 0.7500


3.
Theoretical powder diffraction line list of MgCo2Ni for λ = 1.5418 Å (Cu Kα), from a DFT-relaxed cell (PBE, Alexandria).
Lines closer than 0.1° are merged.

Largest 8 diffraction maxima, low angle first, 2θ = 10–80°:
2θ (°)	I/Imax
24.05	4
42.96	100
45.70	21
49.25	16
54.84	12
69.44	11
74.08	9
76.78	8

Structure:
Lattice parameters (Å, degrees): 3.3484 3.7003 3.9708 90.00 90.00 90.00
Fractional coordinates of all 4 atoms:
1 Mg 0.0000 0.0000 0.0000
2 Co 0.0000 0.5000 0.5000
3 Co 0.5000 0.0000 0.5000
4 Ni 0.5000 0.5000 0.0000


4.
Theoretical powder diffraction line list of CeTh3Sc6 for λ = 1.5418 Å (Cu Kα), from a DFT-relaxed cell (PBE, Alexandria).
Lines closer than 0.1° are merged.

Largest 8 diffraction maxima, low angle first, 2θ = 10–80°:
2θ (°)	I/Imax
18.51	76
22.17	61
22.96	32
30.97	31
33.04	58
33.51	100
34.12	82
38.11	49

Structure:
Lattice parameters (Å, degrees): 9.3396 9.3396 5.7763 91.41 91.41 33.75
Fractional coordinates of all 10 atoms:
1 Ce 0.0000 0.0000 0.0000
2 Th 0.1128 0.1128 0.6105
3 Th 0.4065 0.4065 0.1234
4 Th 0.7107 0.7107 0.4754
5 Sc 0.2176 0.2176 0.1200
6 Sc 0.3118 0.3118 0.6291
7 Sc 0.5018 0.5018 0.5990
8 Sc 0.6125 0.6125 0.0018
9 Sc 0.8034 0.8034 0.9727
10 Sc 0.8981 0.8981 0.4827